Diffraction record for Bi2Se2Cl7. The PXRD pattern is simulated, not measured: it uses DFT lattice parameters and positions (GGA-PBE) and CuKα.

Main lines, most intense first (10° ≤ 2θ ≤ 90°):
index  Position (°2θ)  I_rel
2 1 1  19.79  100
1 0 2  18.36  65
2 1 2  24.48  61
1 3 3  35.92  51
2 3 2  33.69  32
1 4 1  34.53  30
5 0 2  44.36  29
4 2 1  37.39  28
1 3 4  42.45  26
1 3 0  25.52  22

Structural model:
a = 11.037 Å, b = 11.037 Å, c = 10.752 Å
α = 90.00°, β = 90.00°, γ = 90.00°
Positions (direct):
Bi  0.021  0.642  0.148
Bi  0.142  0.979  0.852
Bi  0.358  0.521  0.852
Bi  0.479  0.858  0.148
Bi  0.521  0.142  0.852
Bi  0.642  0.479  0.148
Bi  0.858  0.021  0.148
Bi  0.979  0.358  0.852
Se  0.128  0.338  0.377
Se  0.162  0.128  0.377
Se  0.338  0.372  0.377
Se  0.372  0.162  0.377
Se  0.628  0.838  0.623
Se  0.662  0.628  0.623
Se  0.838  0.872  0.623
Se  0.872  0.662  0.623
Cl  0.002  0.877  0.276
Cl  0.051  0.134  0.059
Cl  0.106  0.841  0.658
Cl  0.123  0.502  0.724
Cl  0.134  0.449  0.059
Cl  0.159  0.606  0.342
Cl  0.250  0.250  0.854
Cl  0.250  0.750  0.000
Cl  0.341  0.894  0.342
Cl  0.366  0.051  0.059
Cl  0.377  0.998  0.724
Cl  0.394  0.659  0.658
Cl  0.449  0.366  0.059
Cl  0.498  0.623  0.276
Cl  0.502  0.377  0.724
Cl  0.551  0.634  0.941
Cl  0.606  0.341  0.342
Cl  0.623  0.002  0.276
Cl  0.634  0.949  0.941
Cl  0.659  0.106  0.658
Cl  0.750  0.250  0.000
Cl  0.750  0.750  0.146
Cl  0.841  0.394  0.658
Cl  0.866  0.551  0.941
Cl  0.877  0.498  0.276
Cl  0.894  0.159  0.342
Cl  0.949  0.866  0.941
Cl  0.998  0.123  0.724